No. 1
Computed powder XRD pattern
Compound: Li3Fe2P3O12
Radiation: copper Kα
Structure: a DFT-relaxed cell (PBE+U, the Materials Project)
No peak broadening, texture or thermal motion is included.

Structure:
```
Li3Fe2P3O12
1.0
8.3907 0.0000 0.0000
-4.1913 7.2949 0.0000
-0.0039 -4.8514 7.6399
Li Fe P O
6 4 6 24
direct
0.0000 0.0000 0.0000
0.0620 0.8739 0.2775
0.4042 0.7433 0.0000
0.4781 0.7472 0.5157
0.6553 0.4059 0.9987
0.8140 0.2291 0.2838
0.0902 0.5125 0.1823
0.3860 0.1160 0.0917
0.5901 0.5175 0.6966
0.8833 0.1038 0.5767
0.1911 0.3143 0.3891
0.2707 0.3058 0.8845
0.4837 0.0180 0.3870
0.6930 0.0185 0.8933
0.7721 0.5987 0.3799
0.9857 0.6037 0.8887
0.1178 0.1796 0.7101
0.1944 0.1211 0.2371
0.2021 0.7863 0.9454
0.2254 0.4794 0.3386
0.2371 0.1491 0.9450
0.2559 0.4941 0.0255
0.2662 0.8388 0.3313
0.3499 0.4445 0.5598
0.4763 0.4133 0.8667
0.5283 0.0521 0.2304
0.5328 0.2282 0.5492
0.5658 0.1077 0.9441
0.5798 0.4345 0.2248
0.5973 0.7965 0.8765
0.6042 0.9410 0.4223
0.7204 0.9921 0.7173
0.7305 0.6168 0.5493
0.8597 0.6823 0.8670
0.8663 0.8208 0.3963
0.8904 0.1757 0.0432
0.9063 0.5167 0.3313
0.9311 0.3937 0.7219
0.9433 0.5649 0.0438
0.9853 0.2040 0.4064
```

Peak list (10 most intense, 15° ≤ 2θ ≤ 90°, low angle first)
h k l	2θ (°)	I/Imax
-1 1 1	19.72	79
1 1 -1	21.14	18
1 1 -2	24.17	100
2 -2 2	29.06	52
1 1 -3	31.65	79
3 -1 1	36.21	16
3 -3 1	37.08	15
2 0 -4	46.84	14
-2 3 2	51.92	23
3 -4 5	61.23	12

***

No. 2
Computed powder XRD pattern
Compound: LiFeP2O7
Radiation: copper Kα
Structure: a DFT-relaxed cell (PBE+U, the Materials Project)
No peak broadening, texture or thermal motion is included.

Structure:
```
LiFeP2O7
1.0
4.9489 0.0000 0.0000
0.0000 8.0646 0.0000
-2.6284 0.0000 13.9586
Li Fe P O
4 4 8 28
direct
0.0470 0.1416 0.3791
0.0470 0.3584 0.8791
0.9530 0.6416 0.1209
0.9530 0.8584 0.6209
0.3290 0.2360 0.6890
0.3290 0.2640 0.1890
0.6710 0.7360 0.8110
0.6710 0.7640 0.3110
0.1569 0.5288 0.3225
0.1569 0.9712 0.8225
0.2625 0.7184 0.9557
0.2625 0.7816 0.4557
0.7375 0.2184 0.5443
0.7375 0.2816 0.0443
0.8431 0.0288 0.1775
0.8431 0.4712 0.6775
0.0331 0.6326 0.8815
0.0331 0.8674 0.3815
0.1571 0.0507 0.2077
0.1571 0.4493 0.7077
0.2289 0.5796 0.4331
0.2289 0.9204 0.9331
0.2434 0.6953 0.0578
0.2434 0.8047 0.5578
0.2445 0.1527 0.8138
0.2445 0.3473 0.3138
0.3095 0.6457 0.2641
0.3095 0.8543 0.7641
0.4524 0.1786 0.5696
0.4524 0.3214 0.0696
0.5476 0.6786 0.9304
0.5476 0.8214 0.4304
0.6905 0.1457 0.2359
0.6905 0.3543 0.7359
0.7555 0.6527 0.6862
0.7555 0.8473 0.1862
0.7566 0.1953 0.4422
0.7566 0.3047 0.9422
0.7711 0.0796 0.0669
0.7711 0.4204 0.5669
0.8429 0.5507 0.2923
0.8429 0.9493 0.7923
0.9669 0.1326 0.6185
0.9669 0.3674 0.1185
```

Peak list (10 most intense, 15° ≤ 2θ ≤ 90°, low angle first)
h k l	2θ (°)	I/Imax
0 1 2	16.80	100
0 2 0	22.05	44
1 1 -2	23.07	28
1 1 1	23.24	19
1 1 2	26.61	56
1 2 0	28.76	19
1 2 -2	30.09	24
0 3 1	33.97	26
1 1 -6	41.36	22
1 3 2	41.57	21

***

Please write out number 1 again, unchanged.
Computed powder XRD pattern
Compound: Li3Fe2P3O12
Radiation: copper Kα
Structure: a DFT-relaxed cell (PBE+U, the Materials Project)
No peak broadening, texture or thermal motion is included.

Structure:
```
Li3Fe2P3O12
1.0
8.3907 0.0000 0.0000
-4.1913 7.2949 0.0000
-0.0039 -4.8514 7.6399
Li Fe P O
6 4 6 24
direct
0.0000 0.0000 0.0000
0.0620 0.8739 0.2775
0.4042 0.7433 0.0000
0.4781 0.7472 0.5157
0.6553 0.4059 0.9987
0.8140 0.2291 0.2838
0.0902 0.5125 0.1823
0.3860 0.1160 0.0917
0.5901 0.5175 0.6966
0.8833 0.1038 0.5767
0.1911 0.3143 0.3891
0.2707 0.3058 0.8845
0.4837 0.0180 0.3870
0.6930 0.0185 0.8933
0.7721 0.5987 0.3799
0.9857 0.6037 0.8887
0.1178 0.1796 0.7101
0.1944 0.1211 0.2371
0.2021 0.7863 0.9454
0.2254 0.4794 0.3386
0.2371 0.1491 0.9450
0.2559 0.4941 0.0255
0.2662 0.8388 0.3313
0.3499 0.4445 0.5598
0.4763 0.4133 0.8667
0.5283 0.0521 0.2304
0.5328 0.2282 0.5492
0.5658 0.1077 0.9441
0.5798 0.4345 0.2248
0.5973 0.7965 0.8765
0.6042 0.9410 0.4223
0.7204 0.9921 0.7173
0.7305 0.6168 0.5493
0.8597 0.6823 0.8670
0.8663 0.8208 0.3963
0.8904 0.1757 0.0432
0.9063 0.5167 0.3313
0.9311 0.3937 0.7219
0.9433 0.5649 0.0438
0.9853 0.2040 0.4064
```

Peak list (10 most intense, 15° ≤ 2θ ≤ 90°, low angle first)
h k l	2θ (°)	I/Imax
-1 1 1	19.72	79
1 1 -1	21.14	18
1 1 -2	24.17	100
2 -2 2	29.06	52
1 1 -3	31.65	79
3 -1 1	36.21	16
3 -3 1	37.08	15
2 0 -4	46.84	14
-2 3 2	51.92	23
3 -4 5	61.23	12